Calculated powder XRD pattern of Ti3IrSe8 for Cu Kα X-rays, from DFT lattice parameters and positions (GGA-PBE).
Intensities are scaled so that the largest is 1000.

Structure:
```
data_Ti3IrSe8
_chemical_formula_sum 'Ti6 Ir2 Se16'
_cell_length_a 12.040
_cell_length_b 6.936
_cell_length_c 8.048
_cell_angle_alpha 90.00
_cell_angle_beta 120.44
_cell_angle_gamma 90.00
_space_group_name_H-M_alt 'C 1 2/m 1'
_space_group_IT_number 12
loop_
_space_group_symop_operation_xyz
'x,y,z'
'-x,-y,-z'
'-x,y,-z'
'x,-y,z'
'x+1/2,y+1/2,z'
'-x+1/2,-y+1/2,-z'
'-x+1/2,y+1/2,-z'
'x+1/2,-y+1/2,z'
loop_
_atom_site_label
_atom_site_type_symbol
_atom_site_fract_x
_atom_site_fract_y
_atom_site_fract_z
_atom_site_occupancy
Ti1 Ti 0.000 0.000 0.000 1
Ti2 Ti 0.250 0.250 0.000 1
Ir1 Ir 0.000 0.500 0.000 1
Se1 Se 0.005 0.252 0.772 1
Se2 Se 0.242 0.500 0.228 1
Se3 Se 0.244 0.000 0.229 1
```

Principal peaks in the range 15° ≤ 2θ ≤ 90°, low angle first:
| d [Å] | Position (°2θ) | intensity | index |
| --- | --- | --- | --- |
| 5.777 | 15.34 | 235 | 2 0 -1 |
| 5.207 | 17.03 | 174 | 2 0 0 |
| 3.470 | 25.67 | 163 | 0 0 2 |
| 2.976 | 30.03 | 217 | 4 0 -1 |
| 2.608 | 34.39 | 1000 | 2 2 -2 |
| 2.595 | 34.56 | 498 | 4 0 0 |
| 2.119 | 42.68 | 171 | 2 2 -3 |
| 1.977 | 45.89 | 202 | 4 0 -4 |
| 1.963 | 46.26 | 413 | 2 2 2 |
| 1.737 | 52.70 | 302 | 6 2 -2 |
| 1.734 | 52.78 | 267 | 0 4 0 |
| 1.442 | 64.65 | 157 | 4 4 0 |